For GaFePb2O6, a crystal structure in Alexandria, relaxed with PBE+U gives the theoretical XRD peak list in this record (CuKα).

```
data_GaFePb2O6
_chemical_formula_sum 'Ga3 Fe3 Pb6 O18'
_cell_length_a 5.5449
_cell_length_b 5.5449
_cell_length_c 14.3139
_cell_angle_alpha 90.00
_cell_angle_beta 90.00
_cell_angle_gamma 120.00
_space_group_name_H-M_alt 'R 3'
_space_group_IT_number 146
_space_group_name_Hall 'R 3'
loop_
_atom_site_label
_atom_site_type_symbol
_atom_site_fract_x
_atom_site_fract_y
_atom_site_fract_z
_atom_site_occupancy
Ga1 Ga 0.0000 0.0000 0.0000 1
Fe1 Fe 0.0000 0.0000 0.5001 1
Pb1 Pb 0.0000 0.0000 0.2861 1
Pb2 Pb 0.0000 0.0000 0.7626 1
O1 O 0.0517 0.7114 0.5717 1
O2 O 0.1123 0.3470 0.0668 1
```

Largest 10 diffraction maxima, low angle first, 2θ from 15° to 90°:
| index | 2θ (°) | d (Å) | Rel. int. |
| --- | --- | --- | --- |
| 0 1 2 | 22.29 | 3.988 | 65 |
| 1 0 4 | 31.17 | 2.869 | 100 |
| 1 1 0 | 32.29 | 2.772 | 96 |
| 2 0 2 | 39.59 | 2.276 | 24 |
| 0 2 4 | 45.49 | 1.994 | 45 |
| 2 -1 6 | 50.47 | 1.808 | 23 |
| 3 -2 2 | 51.98 | 1.759 | 16 |
| 3 -1 4 | 56.88 | 1.619 | 39 |
| 3 0 0 | 57.58 | 1.601 | 25 |
| 1 3 4 | 76.29 | 1.248 | 16 |